Calculated powder diffraction line list of DyFe2SiB for CuKα, from a structure optimized by DFT (GGA-PBE).
Neutral-atom scattering factors, no anomalous dispersion.

Lattice parameters (Å, degrees): 5.4034 5.4034 5.4034 139.44 139.44 58.70
Fractional positions:
Dy  0.0000  0.0000  0.0000
Fe  0.2298  0.7298  0.5000
Fe  0.7298  0.2298  0.5000
Si  0.3643  0.3643  0.0000
B  0.6287  0.6287  0.0000

Largest 12 diffraction maxima, by angle, 5° ≤ 2θ ≤ 70°:
d = 4.710 Å, 18.8 deg, I 3
d = 3.480 Å, 25.6 deg, I 73
d = 2.648 Å, 33.8 deg, I 6
d = 2.406 Å, 37.4 deg, I 54
d = 2.355 Å, 38.2 deg, I 19
d = 2.309 Å, 39.0 deg, I 100
d = 1.873 Å, 48.6 deg, I 34
d = 1.683 Å, 54.5 deg, I 16
d = 1.649 Å, 55.7 deg, I 18
d = 1.478 Å, 62.9 deg, I 23
d = 1.466 Å, 63.5 deg, I 17
d = 1.350 Å, 69.6 deg, I 16